Entry 1:
Computed powder X-ray diffraction pattern
Compound: LiNiPO4
Radiation: Cu Kα X-rays
Structure: a cell relaxed with PBE+U
Kinematic intensities with the Lorentz-polarization factor, no thermal factor.

Structural model:
```
LiNiPO4
1.0
9.5137 0.0000 0.0000
0.0000 6.2242 0.0000
0.0000 0.0000 4.8552
Li Ni P O
4 4 4 16
Cartesian
0.0000 0.0000 0.0000
0.0000 3.1121 0.0000
4.7569 0.0000 2.4276
4.7569 3.1121 2.4276
1.4019 1.5560 2.2522
3.3550 4.6681 4.6798
6.1587 1.5560 0.1754
8.1118 4.6681 2.6029
1.7414 4.6681 2.2535
3.0154 1.5560 4.6811
6.4983 4.6681 0.1741
7.7723 1.5560 2.6017
1.0534 3.4250 1.6499
1.0534 5.9113 1.6499
1.4986 1.5560 4.2851
1.5494 4.6681 3.7901
3.2074 1.5560 1.3625
3.2582 4.6681 1.8575
3.7034 0.3129 4.0775
3.7034 2.7992 4.0775
5.8103 3.4250 0.7777
5.8103 5.9113 0.7777
6.2555 1.5560 2.9977
6.3063 4.6681 3.4926
7.9643 1.5560 1.0651
8.0151 4.6681 0.5701
8.4603 0.3129 3.2053
8.4603 2.7992 3.2053
```

Main lines, by angle (5° ≤ 2θ ≤ 70°):
2θ 18.65, I 45, (2 0 0); 2θ 20.54, I 100, (1 0 1); 2θ 28.69, I 79, (0 2 0); 2θ 33.76, I 79, (3 0 1); 2θ 34.44, I 39, (2 2 0); 2θ 37.83, I 42, (4 0 0)

Entry 2:
Computed powder X-ray diffraction pattern
Compound: LiNiP2O7
Radiation: Cu Kα X-rays
Structure: a cell relaxed with PBE+U
Kinematic intensities with the Lorentz-polarization factor, no thermal factor.

Structural model:
```
LiNiP2O7
1.0
7.1230 0.0000 0.0000
0.0000 8.3055 0.0000
-3.3682 0.0000 9.1881
Li Ni P O
4 4 8 28
Cartesian
0.4436 1.0461 2.2405
-1.2404 3.1066 6.8345
4.9953 5.1988 2.3536
3.3112 7.2594 6.9476
-0.9068 0.0085 6.8932
0.7773 4.1442 2.2992
2.9776 4.1613 6.8889
4.6617 8.2969 2.2949
-1.8097 5.7190 8.6444
-0.1256 6.7392 4.0504
2.6809 1.8270 0.5096
0.9968 2.3257 5.1036
2.7581 5.9797 4.0845
1.0740 6.4785 8.6785
3.8805 1.5663 5.1377
5.5646 2.5865 0.5437
-2.2907 4.5797 7.7298
-0.6066 7.8785 3.1358
-0.4254 5.3649 3.4478
-2.1095 7.0933 8.0418
1.0548 5.5852 0.8776
-0.6293 6.8730 5.4716
-0.1530 1.5549 5.7579
1.5311 2.5978 1.1639
-1.0182 1.6321 8.2174
0.6659 2.5206 3.6234
-0.2035 5.4999 8.6154
1.4806 6.9583 4.0213
2.9399 0.5556 1.3115
1.2558 3.5971 5.9056
2.4990 4.7084 3.2825
0.8149 7.7498 7.8766
2.2743 1.3472 5.1668
3.9583 2.8056 0.5727
3.0890 5.7848 5.5647
4.7731 6.6734 0.9707
2.2238 5.7076 8.0242
3.9079 6.7506 3.4302
4.3841 1.4325 3.7165
2.7000 2.7202 8.3105
5.8643 1.2122 1.1463
4.1802 2.9405 5.7403
4.3614 0.4270 6.0523
6.0455 3.7258 1.4583
```

Main lines, by angle (5° ≤ 2θ ≤ 70°):
2θ 17.17, I 100, (1 1 -1); 2θ 22.11, I 34, (0 1 2); 2θ 26.66, I 20, (2 0 0); 2θ 28.77, I 29, (2 1 0); 2θ 28.98, I 66, (0 2 2); 2θ 29.61, I 26, (1 1 -3)

Entry 3:
Computed powder X-ray diffraction pattern
Compound: LiNi4P3O12
Radiation: Cu Kα X-rays
Structure: a cell relaxed with PBE+U
Kinematic intensities with the Lorentz-polarization factor, no thermal factor.

Structural model:
```
LiNi4P3O12
1.0
7.4004 0.0000 0.0000
-0.6585 7.7459 0.0000
-3.5210 -3.5927 8.1500
Li Ni P O
2 8 6 24
Cartesian
0.4306 2.0602 0.9100
2.7902 2.0929 7.2400
0.2350 6.2102 1.6990
-1.0416 5.4272 4.6109
-0.7859 2.5388 4.7117
2.9454 5.2833 0.4485
0.2754 -1.1302 7.7015
4.0066 1.6143 3.4383
4.2624 -1.2740 3.5391
2.9858 -2.0570 6.4510
-2.1814 0.1243 6.1326
-2.3660 4.1501 7.2629
1.3741 -0.0620 4.6041
1.8467 4.2151 3.5459
5.5868 0.0031 0.8871
5.4021 4.0288 2.0174
-2.3938 1.4357 5.2935
-0.7269 4.4320 1.2509
-0.3412 0.0243 1.3228
-1.8214 -1.0034 5.1220
-1.3885 4.0568 6.0402
-2.1735 2.8522 8.1316
0.6339 -0.9790 3.5949
-1.3640 -2.3265 8.0982
-0.9925 0.3583 7.1146
0.3945 4.0333 4.0682
0.6882 1.2640 4.8209
1.8469 5.0532 2.2006
1.3739 -0.9001 5.9494
2.5325 2.8892 3.3291
2.8263 0.1198 4.0818
4.2132 3.7948 1.0354
4.5848 6.4797 0.0518
2.5869 5.1322 4.5551
5.3943 1.3009 0.0184
4.6092 0.0963 2.1099
5.0421 5.1565 3.0280
3.5619 4.1289 6.8273
3.9477 -0.2789 6.8991
5.6146 2.7175 2.8565
```

Main lines, by angle (5° ≤ 2θ ≤ 70°):
2θ 20.34, I 87, (1 1 0); 2θ 29.79, I 82, (1 0 -3); 2θ 30.14, I 91, (1 0 2); 2θ 31.30, I 80, (1 2 0); 2θ 32.09, I 70, (2 -2 0); 2θ 32.29, I 100, (2 1 -3)

Entry 4:
Computed powder X-ray diffraction pattern
Compound: LiNiPO4
Radiation: Cu Kα X-rays
Structure: a cell relaxed with PBE+U
Kinematic intensities with the Lorentz-polarization factor, no thermal factor.

Structural model:
```
LiNiPO4
1.0
5.1556 0.0000 0.0000
-0.0322 7.7781 0.0000
-0.0036 -1.7020 8.4891
Li Ni P O
4 4 4 16
Cartesian
0.0000 0.0000 0.0000
0.4330 3.2804 1.9629
2.5467 -1.2812 6.9789
2.9983 3.2185 5.0358
0.1978 3.4975 6.9973
0.4905 0.7595 4.2765
2.7869 1.2822 8.4883
3.0557 5.7289 2.7215
0.0110 0.7991 7.3867
0.4381 5.1726 4.2512
2.5856 3.9807 8.1030
3.0287 1.3176 2.7524
0.2986 6.6386 4.7237
1.3529 0.0908 7.5961
1.4421 4.9941 7.8351
1.9568 4.7922 4.1170
2.3241 1.5293 4.1316
2.3281 2.2663 1.7531
2.4030 2.8472 7.0253
2.4578 4.9484 0.9754
2.8884 -0.1513 2.2901
3.9316 4.6842 7.9078
4.0229 -0.2159 7.6452
4.5471 1.6998 2.8844
4.8921 4.2205 5.2469
4.8918 4.9644 2.8705
4.9770 1.9326 8.4633
5.0477 1.5331 6.0247
```

Main lines, by angle (5° ≤ 2θ ≤ 70°):
2θ 14.00, I 33, (0 1 -1); 2θ 20.15, I 100, (1 0 1); 2θ 20.93, I 61, (0 0 2); 2θ 23.33, I 55, (0 2 0); 2θ 34.80, I 44, (2 0 0); 2θ 36.21, I 35, (1 0 -3)